# Ba2CoOsS6
Simulated powder diffraction line list, Cu Kα X-rays. Input: a crystal structure in OQMD, relaxed with GGA-PBE.
Intensities are scaled so that the largest is 100.

Cell and atoms:
```
data_Ba2CoOsS6
_symmetry_space_group_name_H-M 'P 1'
_symmetry_Int_Tables_number 1
_cell_length_a 7.6676
_cell_length_b 7.6676
_cell_length_c 7.6676
_cell_angle_alpha 134.57
_cell_angle_beta 134.57
_cell_angle_gamma 66.19
loop_
_symmetry_equiv_pos_as_xyz
'x,y,z'
loop_
_atom_site_label
_atom_site_type_symbol
_atom_site_fract_x
_atom_site_fract_y
_atom_site_fract_z
Ba1 Ba 0.2500 0.7500 0.5000
Ba2 Ba 0.7500 0.2500 0.5000
Co1 Co 0.0000 0.0000 0.0000
Os1 Os 0.5000 0.5000 0.0000
S1 S 0.1274 0.6482 0.7756
S2 S 0.3088 0.3088 0.0000
S3 S 0.3518 0.1274 0.4792
S4 S 0.6482 0.8726 0.5208
S5 S 0.6912 0.6912 0.0000
S6 S 0.8726 0.3518 0.2244
```

The 8 most intense peaks (2θ from 5° to 70°), sorted by position:
| 2theta | I (rel.) |
| --- | --- |
| 16.5 | 33 |
| 25.4 | 100 |
| 27.8 | 53 |
| 30.2 | 62 |
| 41.5 | 41 |
| 47.7 | 27 |
| 50.8 | 53 |
| 66.3 | 31 |

***

# Ba2CoTcS6
Simulated powder diffraction line list, Cu Kα X-rays. Input: a crystal structure in OQMD, relaxed with GGA-PBE.
Intensities are scaled so that the largest is 100.

Cell and atoms:
```
data_Ba2CoTcS6
_symmetry_space_group_name_H-M 'P 1'
_symmetry_Int_Tables_number 1
_cell_length_a 6.6707
_cell_length_b 6.6707
_cell_length_c 6.6707
_cell_angle_alpha 60.00
_cell_angle_beta 60.00
_cell_angle_gamma 60.00
loop_
_symmetry_equiv_pos_as_xyz
'x,y,z'
loop_
_atom_site_label
_atom_site_type_symbol
_atom_site_fract_x
_atom_site_fract_y
_atom_site_fract_z
Ba1 Ba 0.2500 0.2500 0.2500
Ba2 Ba 0.7500 0.7500 0.7500
Co1 Co 0.0000 0.0000 0.0000
Tc1 Tc 0.5000 0.5000 0.5000
S1 S 0.2458 0.2458 0.7542
S2 S 0.2458 0.7542 0.2458
S3 S 0.2458 0.7542 0.7542
S4 S 0.7542 0.2458 0.2458
S5 S 0.7542 0.2458 0.7542
S6 S 0.7542 0.7542 0.2458
```

The 8 most intense peaks (2θ from 5° to 70°), sorted by position:
| 2theta | I (rel.) |
| --- | --- |
| 26.7 | 100 |
| 32.9 | 27 |
| 38.2 | 58 |
| 47.2 | 43 |
| 55.1 | 38 |
| 62.2 | 19 |
| 65.6 | 10 |
| 69.0 | 13 |

***

# BaCo2Se3
Simulated powder diffraction line list, Cu Kα X-rays. Input: a crystal structure in OQMD, relaxed with GGA-PBE.
Intensities are scaled so that the largest is 100.

Cell and atoms:
```
data_BaCo2Se3
_symmetry_space_group_name_H-M 'P 1'
_symmetry_Int_Tables_number 1
_cell_length_a 7.3309
_cell_length_b 7.3309
_cell_length_c 9.4004
_cell_angle_alpha 90.00
_cell_angle_beta 90.00
_cell_angle_gamma 148.60
loop_
_symmetry_equiv_pos_as_xyz
'x,y,z'
loop_
_atom_site_label
_atom_site_type_symbol
_atom_site_fract_x
_atom_site_fract_y
_atom_site_fract_z
Ba1 Ba 0.2432 0.7568 0.7500
Ba2 Ba 0.7568 0.2432 0.2500
Co1 Co 0.0000 0.0000 0.0000
Co2 Co 0.0000 0.0000 0.5000
Co3 Co 0.4757 0.5243 0.2500
Co4 Co 0.5243 0.4757 0.7500
Se1 Se 0.0646 0.9354 0.2500
Se2 Se 0.3801 0.6199 0.0434
Se3 Se 0.3801 0.6199 0.4566
Se4 Se 0.6199 0.3801 0.5434
Se5 Se 0.6199 0.3801 0.9566
Se6 Se 0.9354 0.0646 0.7500
```

The 8 most intense peaks (2θ from 5° to 70°), sorted by position:
| 2theta | I (rel.) |
| --- | --- |
| 31.0 | 100 |
| 31.7 | 41 |
| 35.2 | 38 |
| 37.1 | 25 |
| 38.3 | 36 |
| 43.8 | 27 |
| 45.7 | 29 |
| 57.7 | 29 |